Calculated PXRD pattern of MgMn4H2O8 for Cu Kα (λ = 1.5418 Å), from the PBE+U geometry in the Materials Project.

Cell and atoms:
```
MgMn4H2O8
1.0
5.142 0.000 0.000
0.000 3.044 0.000
-0.171 0.000 9.928
Mg Mn H O
1 4 2 8
Cartesian
0.000 0.000 0.000
0.245 0.000 2.740
2.121 0.000 7.465
2.635 1.522 0.584
4.792 1.522 5.386
-0.075 1.522 7.984
2.151 1.522 3.903
0.497 0.000 6.326
0.582 1.522 8.719
1.183 1.522 3.762
1.613 0.000 1.319
3.084 1.522 6.784
3.048 0.000 9.299
4.133 0.000 4.213
4.518 1.522 1.449
```

The 8 most intense peaks (2θ from 10° to 90°), in order of rising 2θ:
- 19.30 deg, d = 4.598 Å, rel. 735
- 19.58 deg, d = 4.533 Å, rel. 1000
- 31.91 deg, d = 2.805 Å, rel. 668
- 32.43 deg, d = 2.761 Å, rel. 476
- 34.56 deg, d = 2.595 Å, rel. 650
- 35.36 deg, d = 2.538 Å, rel. 462
- 35.52 deg, d = 2.527 Å, rel. 468
- 58.04 deg, d = 1.589 Å, rel. 383

=====

Calculated PXRD pattern of Ca2W3O8 for Cu Kα (λ = 1.5418 Å), from the PBE+U geometry in the Materials Project.

Cell and atoms:
```
Ca2W3O8
1.0
6.520 0.000 0.000
-3.260 5.647 0.000
0.000 0.000 10.321
Ca W O
4 6 16
Cartesian
0.000 3.765 0.000
0.000 3.765 3.997
3.260 1.882 5.161
3.260 1.882 9.157
0.000 1.857 7.382
-1.652 4.718 7.382
1.608 0.929 2.221
1.652 4.718 7.382
4.912 0.929 2.221
3.260 3.790 2.221
0.000 0.000 3.268
0.000 0.000 8.429
-1.387 2.964 8.508
0.000 1.799 1.287
-1.702 4.747 1.287
1.558 0.900 6.448
0.000 3.765 6.280
1.387 2.964 8.508
0.000 5.366 8.508
3.260 0.281 3.347
1.873 2.683 3.347
3.260 1.882 1.119
1.702 4.747 1.287
4.962 0.900 6.448
3.260 3.847 6.448
4.647 2.683 3.347
```

The 8 most intense peaks (2θ from 10° to 90°), in order of rising 2θ:
- 17.18 deg, d = 5.161 Å, rel. 1000
- 17.91 deg, d = 4.954 Å, rel. 363
- 30.42 deg, d = 2.938 Å, rel. 228
- 32.48 deg, d = 2.756 Å, rel. 281
- 32.89 deg, d = 2.723 Å, rel. 908
- 41.37 deg, d = 2.183 Å, rel. 453
- 55.11 deg, d = 1.666 Å, rel. 344
- 56.45 deg, d = 1.630 Å, rel. 254

=====

Calculated PXRD pattern of Li4FeTeW2O12 for Cu Kα (λ = 1.5418 Å), from the PBE+U geometry in the Materials Project.

Cell and atoms:
```
Li4FeTeW2O12
1.0
5.189 0.000 0.000
-0.006 5.506 0.000
-0.037 -1.214 15.163
Li Fe Te W O
8 2 2 4 24
Cartesian
0.000 0.000 0.000
-0.015 -0.447 7.509
0.012 4.835 4.355
0.027 3.944 12.116
2.542 1.879 15.117
2.586 2.437 7.523
2.608 2.075 11.610
2.660 2.757 4.008
2.585 4.879 5.997
2.610 4.282 13.665
-0.026 1.761 9.827
0.035 2.454 2.202
-0.023 1.429 13.626
0.075 2.057 6.023
2.563 5.188 2.249
2.556 4.549 9.855
0.653 1.641 11.638
0.733 2.176 4.286
0.965 0.387 1.661
0.965 0.085 9.374
1.025 3.621 6.607
1.013 3.053 13.979
1.546 0.937 6.631
1.565 0.423 14.052
1.573 2.828 9.371
1.744 3.318 1.769
1.965 4.752 4.106
2.000 4.302 11.658
3.225 4.543 8.120
3.276 5.182 0.442
3.319 1.235 2.880
3.577 0.647 10.384
3.665 3.077 5.743
3.671 2.543 13.150
4.128 3.325 10.425
4.212 4.045 2.840
4.279 0.375 5.755
4.289 -0.216 13.193
4.503 2.556 0.234
4.495 1.804 8.050
```

The 8 most intense peaks (2θ from 10° to 90°), in order of rising 2θ:
- 20.74 deg, d = 4.283 Å, rel. 227
- 23.47 deg, d = 3.791 Å, rel. 508
- 23.60 deg, d = 3.770 Å, rel. 1000
- 32.59 deg, d = 2.748 Å, rel. 603
- 34.46 deg, d = 2.603 Å, rel. 274
- 42.16 deg, d = 2.143 Å, rel. 153
- 53.08 deg, d = 1.725 Å, rel. 202
- 60.62 deg, d = 1.528 Å, rel. 143

=====

Calculated PXRD pattern of LiV3O8 for Cu Kα (λ = 1.5418 Å), from the PBE+U geometry in the Materials Project.

Cell and atoms:
```
LiV3O8
1.0
6.836 0.000 0.000
0.000 3.645 0.000
-2.984 0.000 11.639
Li V O
2 6 16
Cartesian
0.000 0.000 0.000
1.580 1.823 3.130
-0.972 1.823 6.069
-1.459 1.823 9.120
0.945 0.000 9.951
3.459 0.000 1.388
3.569 0.000 4.690
5.702 1.823 2.820
-1.441 0.000 5.730
0.005 1.823 1.599
-0.094 1.823 4.232
-0.870 0.000 9.070
0.389 1.823 6.929
2.074 0.000 0.506
0.341 1.823 10.010
2.517 0.000 3.156
2.474 0.000 5.862
3.855 1.823 1.710
2.142 0.000 8.884
1.749 0.000 11.593
4.078 1.823 4.505
5.179 0.000 2.835
4.630 1.823 7.519
4.197 1.823 10.274
```

The 8 most intense peaks (2θ from 10° to 90°), in order of rising 2θ:
- 13.65 deg, d = 6.490 Å, rel. 1000
- 22.92 deg, d = 3.880 Å, rel. 182
- 26.93 deg, d = 3.311 Å, rel. 159
- 27.94 deg, d = 3.193 Å, rel. 727
- 30.32 deg, d = 2.948 Å, rel. 318
- 39.95 deg, d = 2.257 Å, rel. 232
- 41.51 deg, d = 2.175 Å, rel. 195
- 50.05 deg, d = 1.823 Å, rel. 197

=====

Calculated PXRD pattern of RbMnF3 for Cu Kα (λ = 1.5418 Å), from the PBE+U geometry in the Materials Project.

Cell and atoms:
```
RbMnF3
1.0
4.312 0.000 0.000
0.000 4.312 0.000
0.000 0.000 4.312
Rb Mn F
1 1 3
Cartesian
0.000 0.000 0.000
2.156 2.156 2.156
0.000 2.156 2.156
2.156 0.000 2.156
2.156 2.156 0.000
```

The 8 most intense peaks (2θ from 10° to 90°), in order of rising 2θ:
- 29.29 deg, d = 3.049 Å, rel. 1000
- 36.08 deg, d = 2.490 Å, rel. 202
- 41.90 deg, d = 2.156 Å, rel. 487
- 51.94 deg, d = 1.761 Å, rel. 392
- 60.75 deg, d = 1.525 Å, rel. 288
- 68.85 deg, d = 1.364 Å, rel. 168
- 76.53 deg, d = 1.245 Å, rel. 91
- 83.96 deg, d = 1.153 Å, rel. 198